The following is a theoretical powder XRD pattern of NbTlCrO6. It was derived from a DFT-relaxed cell (PBE+U, Alexandria), using copper Kα.
Peak positions follow from Bragg's law for the DFT cell and can differ from measured ones.

Cell and atoms:
a = 5.225 Å, b = 5.225 Å, c = 5.908 Å
α = 90.00°, β = 90.00°, γ = 120.00°
Positions (direct):
Nb (0.000, 0.000, 0.000)
Tl (0.333, 0.667, 0.566)
Cr (0.667, 0.333, 0.104)
O (0.351, 0.276, 0.239)
O (0.357, 0.063, 0.869)
O (0.706, 0.643, 0.869)
O (0.724, 0.076, 0.239)
O (0.924, 0.649, 0.239)
O (0.937, 0.294, 0.869)

Principal peaks in the range 10° ≤ 2θ ≤ 90°, sorted by position:
d [Å], 2θ (°), I (rel.), index
4.525, 19.62, 11.7, 1 0 0
3.592, 24.78, 100.0, 1 0 1
2.612, 34.33, 25.2, 1 1 0
2.474, 36.32, 14.8, 0 1 2
2.113, 42.80, 19.7, 0 2 1
1.957, 46.40, 27.7, 1 1 2
1.806, 50.54, 11.1, 1 0 3
1.643, 55.97, 20.7, 2 1 1
1.508, 61.48, 7.7, 3 0 0
1.485, 62.53, 8.1, 0 2 3
1.291, 73.31, 7.9, 3 -1 3
1.228, 77.81, 8.4, 4 -3 1